Record 1
Structure and calculated powder diffractogram of TaCuAgSn (a crystal structure in OQMD, relaxed with GGA-PBE; a wavelength of 1.5418 Å).

Main lines, low angle first (15° ≤ 2θ ≤ 90°):
hkl 1 1 1, 23.5°, I 5
hkl 2 0 0, 27.2°, I 7
hkl 2 2 0, 38.8°, I 100
hkl 4 0 0, 56.1°, I 17
hkl 4 2 2, 70.3°, I 34
hkl 4 4 0, 83.3°, I 11

Atomic structure:
```
data_TaCuAgSn
_chemical_formula_sum 'Ta4 Cu4 Ag4 Sn4'
_space_group_name_H-M_alt 'F -4 3 m'
_space_group_IT_number 216
_space_group_name_Hall 'F -4 2 3'
_cell_length_a 6.5618
_cell_length_b 6.5618
_cell_length_c 6.5618
_cell_angle_alpha 90.00
_cell_angle_beta 90.00
_cell_angle_gamma 90.00
loop_
_atom_site_label
_atom_site_fract_x
_atom_site_fract_y
_atom_site_fract_z
Ta1 0.0000 0.0000 0.0000
Cu1 0.2500 0.2500 0.7500
Ag1 0.2500 0.2500 0.2500
Sn1 0.0000 0.0000 0.5000
```

***

Record 2
Structure and calculated powder diffractogram of SiNi (a crystal structure in OQMD, relaxed with GGA-PBE; a wavelength of 1.5418 Å).

Main lines, low angle first (15° ≤ 2θ ≤ 90°):
hkl 0 1 1, 33.4°, I 19
hkl 1 1 0, 40.7°, I 100
hkl 0 1 2, 47.6°, I 52
hkl 1 0 2, 49.1°, I 48
hkl 1 2 2, 77.8°, I 23
hkl 2 1 2, 81.2°, I 20

Atomic structure:
```
data_SiNi
_chemical_formula_sum 'Si2 Ni2'
_space_group_name_H-M_alt 'P m m n'
_space_group_IT_number 59
_cell_length_a 3.0197
_cell_length_b 3.2721
_cell_length_c 4.7022
_cell_angle_alpha 90.00
_cell_angle_beta 90.00
_cell_angle_gamma 90.00
loop_
_space_group_symop_operation_xyz
'x,y,z'
'-x,-y,-z'
'-x+1/2,-y+1/2,z'
'x+1/2,y+1/2,-z'
'x+1/2,-y,-z'
'-x+1/2,y,z'
'-x,y+1/2,-z'
'x,-y+1/2,z'
loop_
_atom_site_label
_atom_site_fract_x
_atom_site_fract_y
_atom_site_fract_z
Si1 0.2500 0.2500 0.1563
Ni1 0.2500 0.2500 0.6573
```

***

Record 3
Structure and calculated powder diffractogram of HoGeHO4 (a crystal structure in OQMD, relaxed with GGA-PBE; a wavelength of 1.5418 Å).

Main lines, low angle first (15° ≤ 2θ ≤ 90°):
hkl 1 1 1, 26.6°, I 92
hkl 0 4 0, 31.0°, I 26
hkl 2 0 0, 34.6°, I 100
hkl 2 4 0, 47.1°, I 35
hkl 0 4 2, 49.6°, I 22
hkl 2 4 2, 62.0°, I 20

Atomic structure:
```
data_HoGeHO4
_chemical_formula_sum 'Ho4 Ge4 H4 O16'
_space_group_name_H-M_alt 'P b c n'
_space_group_IT_number 60
_space_group_name_Hall '-P 2n 2ab'
_cell_length_a 5.1807
_cell_length_b 11.5408
_cell_length_c 4.7613
_cell_angle_alpha 90.00
_cell_angle_beta 90.00
_cell_angle_gamma 90.00
loop_
_atom_site_label
_atom_site_fract_x
_atom_site_fract_y
_atom_site_fract_z
Ho1 0.0000 0.1191 0.2500
Ge1 0.0000 0.3933 0.2500
H1 0.0000 0.2982 0.7500
O1 0.1207 0.2967 0.5254
O2 0.2366 0.0406 0.5886
```

***

Record 4
Structure and calculated powder diffractogram of HfCdNiPb (a crystal structure in OQMD, relaxed with GGA-PBE; a wavelength of 1.5418 Å).

Main lines, low angle first (15° ≤ 2θ ≤ 90°):
hkl 1 1 1, 22.7°, I 15
hkl 2 2 0, 37.4°, I 100
hkl 3 1 1, 44.2°, I 8
hkl 4 0 0, 54.0°, I 17
hkl 4 2 2, 67.5°, I 35
hkl 4 4 0, 79.9°, I 11

Atomic structure:
```
data_HfCdNiPb
_chemical_formula_sum 'Hf4 Cd4 Ni4 Pb4'
_space_group_name_H-M_alt 'F -4 3 m'
_space_group_IT_number 216
_space_group_name_Hall 'F -4 2 3'
_cell_length_a 6.7949
_cell_length_b 6.7949
_cell_length_c 6.7949
_cell_angle_alpha 90.00
_cell_angle_beta 90.00
_cell_angle_gamma 90.00
loop_
_atom_site_label
_atom_site_fract_x
_atom_site_fract_y
_atom_site_fract_z
Hf1 0.0000 0.0000 0.0000
Cd1 0.2500 0.2500 0.7500
Ni1 0.0000 0.0000 0.5000
Pb1 0.2500 0.2500 0.2500
```